The following is a calculated PXRD pattern of Na4Mn2P2O7F6. It was derived from a structure optimized by DFT (GGA+U), using Cu Kα (weighted mean of Kα1 and Kα2).
Lines closer than 0.1° are merged.

Crystal structure
```
Na4Mn2P2O7F6
1.0
7.9171 0.0000 0.0000
0.0000 8.2687 0.0000
-6.7836 0.0000 8.2076
Na Mn P O F
8 4 4 14 12
Direct
0.0000 0.0000 0.0000 Na
0.0000 0.0000 0.5000 Na
0.0000 0.2494 0.2500 Na
0.0000 0.7506 0.7500 Na
0.5000 0.2254 0.7500 Na
0.5000 0.3166 0.2500 Na
0.5000 0.6834 0.7500 Na
0.5000 0.7746 0.2500 Na
0.0000 0.5000 0.0000 Mn
0.0000 0.5000 0.5000 Mn
0.5000 0.0000 0.0000 Mn
0.5000 0.0000 0.5000 Mn
0.2316 0.3619 0.8664 P
0.2316 0.6381 0.3664 P
0.7684 0.3619 0.6336 P
0.7684 0.6381 0.1336 P
0.0000 0.2621 0.7500 O
0.0000 0.7379 0.2500 O
0.1865 0.4934 0.4364 O
0.1865 0.5066 0.9364 O
0.2786 0.4217 0.7554 O
0.2786 0.5783 0.2554 O
0.4005 0.2465 0.9995 O
0.4005 0.7535 0.4995 O
0.5995 0.2465 0.5005 O
0.5995 0.7535 0.0005 O
0.7214 0.4217 0.7446 O
0.7214 0.5783 0.2446 O
0.8135 0.4934 0.0636 O
0.8135 0.5066 0.5636 O
0.0909 0.2857 0.0796 F
0.0909 0.7143 0.5796 F
0.2606 0.0913 0.4795 F
0.2606 0.9087 0.9795 F
0.3227 0.0075 0.7716 F
0.3227 0.9925 0.2716 F
0.6773 0.0075 0.7284 F
0.6773 0.9925 0.2284 F
0.7394 0.0913 0.0205 F
0.7394 0.9087 0.5205 F
0.9091 0.2857 0.4204 F
0.9091 0.7143 0.9204 F
```

Most intense lines, 2θ from 15° to 90°, most intense first:
(hkl)	two_theta	Rel. int.
1 1 0	18.07	100
2 2 -2	31.44	47
0 2 2	30.70	36
1 2 -1	24.34	35
2 0 -4	33.70	26
0 0 4	44.14	22